For Tc2OsRh, a GGA-PBE-relaxed structure gives the theoretical XRD peak list in this record (Cu Ka).
Intensities are scaled so that the largest is 100.

Peak list (12 most intense, 2θ from 15° to 90°, most intense first)
| d/Å | Rel. int. |
| --- | --- |
| 2.094 | 100 |
| 2.089 | 49 |
| 2.179 | 37 |
| 2.387 | 24 |
| 1.241 | 18 |
| 1.609 | 18 |
| 1.165 | 15 |
| 1.163 | 15 |
| 2.381 | 12 |
| 1.240 | 9 |
| 1.375 | 9 |
| 1.380 | 8 |

```
Tc2OsRh
1.0
5.499 0.000 0.000
2.739 4.778 0.000
1.362 2.378 8.715
Tc Os Rh
8 4 4
direct
0.077 0.023 0.129
0.080 0.773 0.623
0.414 0.228 0.376
0.415 0.977 0.875
0.585 0.023 0.125
0.586 0.772 0.624
0.920 0.227 0.377
0.923 0.977 0.871
0.413 0.734 0.375
0.414 0.484 0.873
0.586 0.516 0.127
0.587 0.266 0.625
0.081 0.523 0.123
0.082 0.274 0.626
0.918 0.726 0.374
0.919 0.477 0.877
```


For PuZrCl6, a GGA-PBE-relaxed structure gives the theoretical XRD peak list in this record (Cu Ka).
Intensities are scaled so that the largest is 100.

Peak list (12 most intense, 2θ from 15° to 90°, most intense first)
| d/Å | Rel. int. |
| --- | --- |
| 4.874 | 100 |
| 2.849 | 61 |
| 3.740 | 43 |
| 2.648 | 26 |
| 1.945 | 19 |
| 1.934 | 19 |
| 2.437 | 19 |
| 2.820 | 18 |
| 2.803 | 18 |
| 3.110 | 17 |
| 2.101 | 17 |
| 2.210 | 16 |

```
PuZrCl6
1.0
3.307 -6.221 0.000
3.307 6.221 0.000
-1.917 0.000 6.280
Pu Zr Cl
1 1 6
direct
0.000 0.000 0.000
0.500 0.500 0.500
0.130 0.418 0.267
0.258 0.258 0.732
0.418 0.130 0.267
0.582 0.870 0.733
0.742 0.742 0.268
0.870 0.582 0.733
```


For CeSi7Os3, a GGA-PBE-relaxed structure gives the theoretical XRD peak list in this record (Cu Ka).
Intensities are scaled so that the largest is 100.

Peak list (12 most intense, 2θ from 15° to 90°, most intense first)
| d/Å | Rel. int. |
| --- | --- |
| 3.334 | 100 |
| 1.848 | 50 |
| 2.218 | 39 |
| 2.526 | 36 |
| 1.932 | 34 |
| 1.419 | 19 |
| 1.338 | 19 |
| 1.333 | 12 |
| 1.218 | 12 |
| 3.353 | 11 |
| 2.250 | 9 |
| 1.667 | 9 |

```
CeSi7Os3
1.0
3.842 2.218 6.706
-3.842 2.218 6.706
0.000 -4.437 6.706
Ce Si Os
2 14 6
direct
0.000 0.000 0.000
0.500 0.500 0.500
0.062 0.854 0.669
0.146 0.331 0.938
0.169 0.354 0.562
0.250 0.250 0.250
0.331 0.938 0.146
0.354 0.562 0.169
0.438 0.831 0.646
0.562 0.169 0.354
0.646 0.438 0.831
0.669 0.062 0.854
0.750 0.750 0.750
0.831 0.646 0.438
0.854 0.669 0.062
0.938 0.146 0.331
0.079 0.750 0.421
0.250 0.579 0.921
0.421 0.079 0.750
0.579 0.921 0.250
0.750 0.421 0.079
0.921 0.250 0.579
```


For NbNiRh, a GGA-PBE-relaxed structure gives the theoretical XRD peak list in this record (Cu Ka).
Intensities are scaled so that the largest is 100.

Peak list (12 most intense, 2θ from 15° to 90°, most intense first)
| d/Å | Rel. int. |
| --- | --- |
| 2.153 | 100 |
| 2.139 | 30 |
| 2.016 | 29 |
| 2.491 | 19 |
| 1.238 | 16 |
| 2.285 | 15 |
| 1.145 | 13 |
| 1.356 | 12 |
| 1.196 | 10 |
| 1.623 | 10 |
| 1.220 | 9 |
| 1.486 | 9 |

```
NbNiRh
1.0
4.279 0.000 0.000
0.000 1.486 6.855
0.000 -1.486 6.855
Nb Ni Rh
2 2 2
direct
0.000 0.000 0.000
0.500 0.217 0.217
0.500 0.542 0.542
0.500 0.882 0.882
0.000 0.340 0.340
0.000 0.662 0.662
```


For PmPr3Er8, a GGA-PBE-relaxed structure gives the theoretical XRD peak list in this record (Cu Ka).
Intensities are scaled so that the largest is 100.

Peak list (12 most intense, 2θ from 15° to 90°, most intense first)
| d/Å | Rel. int. |
| --- | --- |
| 2.482 | 100 |
| 3.089 | 84 |
| 2.828 | 77 |
| 3.693 | 76 |
| 2.038 | 74 |
| 2.712 | 69 |
| 3.457 | 62 |
| 2.086 | 55 |
| 1.356 | 40 |
| 1.640 | 28 |
| 1.544 | 25 |
| 1.557 | 25 |

```
PmPr3Er8
1.0
-4.368 4.368 5.656
4.368 -4.368 5.656
4.368 4.368 -5.656
Pm Pr Er
1 3 8
direct
0.000 0.000 0.000
0.250 0.750 0.500
0.500 0.500 0.000
0.750 0.250 0.500
0.121 0.121 0.749
0.239 0.239 0.493
0.254 0.761 0.000
0.372 0.372 0.251
0.628 0.879 0.000
0.746 0.746 0.507
0.761 0.254 0.000
0.879 0.628 0.000
```


For Ac8Sn5Pb, a GGA-PBE-relaxed structure gives the theoretical XRD peak list in this record (Cu Ka).
Intensities are scaled so that the largest is 100.

Peak list (12 most intense, 2θ from 15° to 90°, most intense first)
| d/Å | Rel. int. |
| --- | --- |
| 3.233 | 100 |
| 2.732 | 65 |
| 2.005 | 32 |
| 1.658 | 26 |
| 2.087 | 20 |
| 1.391 | 17 |
| 1.577 | 16 |
| 1.616 | 14 |
| 3.615 | 10 |
| 2.179 | 9 |
| 1.189 | 8 |
| 1.102 | 8 |

```
Ac8Sn5Pb
1.0
-5.109 5.109 5.116
5.109 -5.109 5.116
5.109 5.109 -5.116
Ac Sn Pb
8 5 1
direct
0.013 0.124 0.751
0.240 0.489 0.614
0.373 0.262 0.249
0.373 0.760 0.249
0.511 0.124 0.751
0.738 0.987 0.111
0.876 0.627 0.386
0.876 0.627 0.889
0.126 0.001 0.375
0.250 0.874 0.875
0.500 0.500 0.000
0.626 0.750 0.625
0.999 0.374 0.125
0.750 0.250 0.500
```


For TeP3, a GGA-PBE-relaxed structure gives the theoretical XRD peak list in this record (Cu Ka).
Intensities are scaled so that the largest is 100.

Peak list (12 most intense, 2θ from 15° to 90°, most intense first)
| d/Å | Rel. int. |
| --- | --- |
| 4.920 | 100 |
| 3.705 | 36 |
| 3.809 | 33 |
| 4.323 | 33 |
| 2.666 | 28 |
| 4.265 | 24 |
| 2.458 | 23 |
| 2.452 | 15 |
| 2.247 | 14 |
| 2.160 | 13 |
| 1.803 | 13 |
| 1.904 | 12 |

```
TeP3
1.0
4.890 0.000 0.000
-2.290 5.359 0.000
-0.166 -3.197 4.922
Te P
1 3
direct
0.000 0.000 0.000
0.233 0.575 0.325
0.438 0.454 0.975
0.901 0.489 0.993
```


For DyPd8Au3, a GGA-PBE-relaxed structure gives the theoretical XRD peak list in this record (Cu Ka).
Intensities are scaled so that the largest is 100.

Peak list (12 most intense, 2θ from 15° to 90°, most intense first)
| d/Å | Rel. int. |
| --- | --- |
| 2.253 | 100 |
| 2.439 | 82 |
| 2.210 | 64 |
| 2.639 | 47 |
| 1.482 | 33 |
| 1.380 | 30 |
| 1.320 | 25 |
| 1.437 | 24 |
| 1.161 | 16 |
| 2.286 | 13 |
| 2.163 | 13 |
| 1.126 | 9 |

```
DyPd8Au3
1.0
5.278 0.000 0.000
-2.639 4.571 0.000
0.000 0.000 8.652
Dy Pd Au
1 8 3
direct
0.000 0.000 0.000
0.164 0.328 0.684
0.164 0.836 0.684
0.333 0.667 0.432
0.333 0.667 0.933
0.503 0.006 0.185
0.503 0.497 0.185
0.672 0.836 0.684
0.994 0.497 0.185
0.000 0.000 0.385
0.667 0.333 0.497
0.667 0.333 0.869
```